ZnGa3N3O: calculated powder diffractogram (CuKα), based on a crystal structure in OQMD, relaxed with PBE.
Peak positions follow from Bragg's law for the DFT cell and can differ from measured ones.

Largest 10 diffraction maxima, most intense first, 2θ from 10° to 90°:
d/Å	intensity	hkl
2.455	100	0 2 -2
2.783	46	2 2 0
2.604	37	0 0 4
1.607	31	4 2 0
1.368	18	4 2 4
1.472	15	0 2 -6
1.474	15	2 2 6
1.344	15	4 0 2
1.902	14	2 0 4
1.366	9	2 -2 4

Cell and atoms:
a = 6.427 Å, b = 6.428 Å, c = 10.417 Å
α = 89.87°, β = 89.98°, γ = 60.01°
Positions (direct):
Zn  0.000  0.000  0.000
Zn  0.161  0.178  0.746
Zn  0.494  0.011  0.000
Zn  0.666  0.667  0.242
Ga  0.009  0.495  0.991
Ga  0.166  0.169  0.236
Ga  0.168  0.659  0.738
Ga  0.169  0.664  0.238
Ga  0.496  0.494  0.993
Ga  0.499  0.501  0.483
Ga  0.509  0.996  0.481
Ga  0.663  0.170  0.236
Ga  0.663  0.174  0.737
Ga  0.673  0.658  0.737
Ga  0.995  0.511  0.482
Ga  0.995  0.995  0.483
N  0.000  0.000  0.300
N  0.008  0.496  0.301
N  0.159  0.176  0.051
N  0.167  0.667  0.552
N  0.170  0.660  0.051
N  0.495  0.009  0.300
N  0.496  0.497  0.301
N  0.499  0.502  0.801
N  0.665  0.175  0.051
N  0.666  0.168  0.552
N  0.666  0.667  0.551
N  0.993  0.513  0.803
O  0.166  0.166  0.545
O  0.512  0.993  0.789
O  0.671  0.657  0.039
O  0.994  0.994  0.788